1.
The following is a computed X-ray diffraction stick pattern of Rb2ZnBr7. It was derived from a PBE-relaxed structure, using Cu Kα (λ = 1.5418 Å).
No peak broadening, texture or thermal motion is included.

Most intense lines, 2θ from 10° to 80°, in order of rising 2θ:
| (hkl) | 2θ/deg | intensity |
| --- | --- | --- |
| 1 1 0 | 15.43 | 22 |
| 2 0 0 | 21.88 | 14 |
| 1 1 2 | 22.29 | 24 |
| 2 0 2 | 27.22 | 100 |
| 2 2 0 | 31.14 | 90 |
| 0 0 4 | 32.31 | 44 |
| 3 0 1 | 34.08 | 12 |
| 4 0 0 | 44.62 | 28 |
| 2 2 4 | 45.49 | 58 |
| 4 2 2 | 53.06 | 19 |
| 4 0 4 | 56.15 | 26 |
| 2 2 8 | 76.33 | 17 |

Cell and atoms:
Unit cell a=8.123 b=8.123 c=11.083 alpha=90.00 beta=90.00 gamma=90.00
Space group I4/mmm (No. 139)
Inequivalent atoms, fractional coordinates:
Rb 0.000 0.500 0.250
Zn 0.000 0.000 0.000
Br 0.000 0.000 0.270
Br 0.000 0.000 0.500
Br 0.217 0.217 0.000

***

2.
The following is a computed X-ray diffraction stick pattern of Dy9Tm2Sc. It was derived from a PBE-relaxed structure, using Cu Kα (λ = 1.5418 Å).
No peak broadening, texture or thermal motion is included.

Most intense lines, 2θ from 10° to 80°, in order of rising 2θ:
| (hkl) | 2θ/deg | intensity |
| --- | --- | --- |
| 1 0 0 | 17.87 | 1 |
| 1 0 1 | 18.83 | 2 |
| 1 0 2 | 21.51 | 1 |
| 1 1 2 | 28.10 | 1 |
| 0 0 5 | 30.02 | 1 |
| 1 1 3 | 31.21 | 100 |
| 2 0 0 | 36.19 | 50 |
| 2 2 0 | 52.11 | 36 |
| 3 1 3 | 62.00 | 42 |
| 2 2 6 | 65.09 | 12 |
| 4 0 0 | 76.75 | 4 |
| 0 0 12 | 76.91 | 2 |

Cell and atoms:
Unit cell a=4.967 b=4.967 c=14.876 alpha=90.00 beta=90.00 gamma=90.00
Space group P4/mmm (No. 123)
Inequivalent atoms, fractional coordinates:
Dy 0.000 0.000 0.000
Dy 0.000 0.000 0.331
Dy 0.000 0.500 0.163
Dy 0.000 0.500 0.500
Tm 0.500 0.500 0.332
Sc 0.500 0.500 0.000

***

3.
The following is a computed X-ray diffraction stick pattern of Pu2ScTe4. It was derived from a PBE-relaxed structure, using Cu Kα (λ = 1.5418 Å).
No peak broadening, texture or thermal motion is included.

Most intense lines, 2θ from 10° to 80°, in order of rising 2θ:
| (hkl) | 2θ/deg | intensity |
| --- | --- | --- |
| 0 0 2 | 11.79 | 47 |
| 0 2 3 | 21.62 | 71 |
| 1 1 0 | 22.24 | 47 |
| 0 2 4 | 26.78 | 66 |
| 1 3 0 | 28.38 | 66 |
| 1 3 1 | 29.01 | 51 |
| 1 3 2 | 30.82 | 100 |
| 1 1 5 | 37.45 | 66 |
| 0 6 3 | 41.71 | 45 |
| 1 5 3 | 42.20 | 48 |
| 1 1 6 | 42.62 | 39 |
| 2 0 0 | 43.50 | 39 |

Cell and atoms:
Unit cell a=4.161 b=14.412 c=15.017 alpha=90.00 beta=90.00 gamma=90.00
Space group Cmcm (No. 63)
Inequivalent atoms, fractional coordinates:
Pu 0.000 0.136 0.072
Sc 0.000 0.375 0.250
Te 0.000 0.022 0.250
Te 0.000 0.214 0.627
Te 0.000 0.500 0.000

***

4.
The following is a computed X-ray diffraction stick pattern of Mn2CuRe. It was derived from a PBE-relaxed structure, using Cu Kα (λ = 1.5418 Å).
No peak broadening, texture or thermal motion is included.

Most intense lines, 2θ from 10° to 80°, in order of rising 2θ:
| (hkl) | 2θ/deg | intensity |
| --- | --- | --- |
| 0 0 2 | 24.16 | 11 |
| 1 0 1 | 26.97 | 40 |
| 1 1 0 | 34.28 | 9 |
| 1 1 2 | 42.38 | 100 |
| 1 0 3 | 44.27 | 11 |
| 2 0 0 | 49.26 | 32 |
| 0 0 4 | 49.49 | 16 |
| 2 0 2 | 55.60 | 5 |
| 2 1 1 | 57.06 | 11 |
| 2 1 3 | 68.37 | 7 |
| 2 2 0 | 72.23 | 10 |
| 2 0 4 | 72.41 | 19 |

Cell and atoms:
Unit cell a=3.699 b=3.699 c=7.367 alpha=90.00 beta=90.00 gamma=90.00
Space group I-4m2 (No. 119)
Inequivalent atoms, fractional coordinates:
Mn 0.000 0.000 0.000
Mn 0.000 0.500 0.250
Cu 0.000 0.000 0.500
Re 0.000 0.500 0.750

***

5.
The following is a computed X-ray diffraction stick pattern of Ce12Co6Pb. It was derived from a PBE-relaxed structure, using Cu Kα (λ = 1.5418 Å).
No peak broadening, texture or thermal motion is included.

Most intense lines, 2θ from 10° to 80°, in order of rising 2θ:
| (hkl) | 2θ/deg | intensity |
| --- | --- | --- |
| 3 0 1 | 29.21 | 43 |
| 2 2 2 | 32.07 | 25 |
| 3 1 2 | 34.71 | 100 |
| 4 0 0 | 37.20 | 10 |
| 3 3 0 | 39.54 | 9 |
| 4 3 1 | 47.98 | 21 |
| 5 3 0 | 55.41 | 24 |
| 6 0 0 | 57.16 | 16 |
| 5 2 3 | 58.88 | 33 |
| 6 1 3 | 65.47 | 6 |
| 5 4 3 | 68.64 | 15 |
| 7 2 3 | 77.78 | 6 |

Cell and atoms:
Unit cell a=9.669 b=9.669 c=9.669 alpha=90.00 beta=90.00 gamma=90.00
Space group Im-3 (No. 204)
Inequivalent atoms, fractional coordinates:
Ce 0.000 0.311 0.181
Co 0.000 0.141 0.500
Pb 0.000 0.000 0.000

***

6.
The following is a computed X-ray diffraction stick pattern of SeS6F2. It was derived from a PBE-relaxed structure, using Cu Kα (λ = 1.5418 Å).
No peak broadening, texture or thermal motion is included.

Most intense lines, 2θ from 10° to 80°, in order of rising 2θ:
| (hkl) | 2θ/deg | intensity |
| --- | --- | --- |
| 2 0 0 | 11.03 | 31 |
| 0 2 0 | 11.85 | 30 |
| 2 2 0 | 16.21 | 36 |
| 3 1 0 | 17.61 | 63 |
| 4 0 0 | 22.16 | 41 |
| 0 2 1 | 23.15 | 43 |
| 3 1 -1 | 23.27 | 62 |
| 0 4 0 | 23.82 | 65 |
| 3 3 0 | 24.42 | 43 |
| 1 3 -1 | 26.31 | 47 |
| 1 3 1 | 28.36 | 100 |
| 6 4 0 | 41.53 | 26 |

Cell and atoms:
Unit cell a=16.570 b=14.941 c=4.627 alpha=90.00 beta=104.44 gamma=90.00
Space group C2/c (No. 15)
Inequivalent atoms, fractional coordinates:
Se 0.000 0.217 0.250
S 0.045 0.123 0.635
S 0.102 0.394 0.648
S 0.217 0.369 0.793
F 0.236 0.122 0.490

***

7.
The following is a computed X-ray diffraction stick pattern of TlH8Rh2Pb. It was derived from a PBE-relaxed structure, using Cu Kα (λ = 1.5418 Å).
No peak broadening, texture or thermal motion is included.

Most intense lines, 2θ from 10° to 80°, in order of rising 2θ:
| (hkl) | 2θ/deg | intensity |
| --- | --- | --- |
| 0 0 3 | 15.21 | 22 |
| 0 1 2 | 22.26 | 42 |
| 1 0 4 | 28.50 | 86 |
| 0 0 6 | 30.69 | 30 |
| 1 1 0 | 34.60 | 100 |
| 0 2 4 | 45.42 | 25 |
| 1 1 6 | 46.92 | 57 |
| 1 0 10 | 56.50 | 24 |
| 2 1 4 | 58.33 | 24 |
| 3 0 0 | 62.01 | 19 |
| 0 3 6 | 70.78 | 17 |
| 2 1 10 | 78.57 | 19 |

Cell and atoms:
Unit cell a=5.1844 b=5.1844 c=17.4795 alpha=90.00 beta=90.00 gamma=120.00
Space group R-3m (No. 166, hexagonal axes)
Inequivalent atoms, fractional coordinates:
Tl 0.0000 0.0000 0.0000
H 0.0000 0.0000 0.2089
H 0.0420 0.5210 0.0505
Rh 0.0000 0.0000 0.3044
Pb 0.0000 0.0000 0.5000

***

8.
The following is a computed X-ray diffraction stick pattern of La2HoEr4. It was derived from a PBE-relaxed structure, using Cu Kα (λ = 1.5418 Å).
No peak broadening, texture or thermal motion is included.

Most intense lines, 2θ from 10° to 80°, in order of rising 2θ:
| (hkl) | 2θ/deg | intensity |
| --- | --- | --- |
| 3 1 0 | 26.23 | 16 |
| 1 1 2 | 30.49 | 100 |
| 2 2 -2 | 30.61 | 47 |
| 4 0 -4 | 30.83 | 57 |
| 2 0 2 | 34.13 | 35 |
| 0 2 2 | 34.27 | 49 |
| 6 2 -4 | 43.91 | 19 |
| 3 3 0 | 46.46 | 11 |
| 6 2 -6 | 54.64 | 23 |
| 4 2 2 | 56.45 | 20 |
| 2 4 -2 | 56.72 | 15 |
| 7 3 -4 | 56.80 | 13 |

Cell and atoms:
Unit cell a=16.533 b=6.760 c=11.602 alpha=90.00 beta=134.52 gamma=90.00
Space group C2 (No. 5)
Inequivalent atoms, fractional coordinates:
La 0.000 0.000 0.000
La 0.000 0.003 0.500
La 0.223 0.120 0.973
Ho 0.227 0.119 0.477
Er 0.002 0.335 0.251
Er 0.005 0.779 0.255
Er 0.150 0.487 0.647
Er 0.151 0.485 0.155

***

9.
The following is a computed X-ray diffraction stick pattern of ZrZn4N4. It was derived from a PBE-relaxed structure, using Cu Kα (λ = 1.5418 Å).
No peak broadening, texture or thermal motion is included.

Most intense lines, 2θ from 10° to 80°, in order of rising 2θ:
| (hkl) | 2θ/deg | intensity |
| --- | --- | --- |
| 0 1 2 | 26.08 | 22 |
| 0 0 3 | 33.81 | 24 |
| 1 1 -2 | 33.97 | 100 |
| 1 2 2 | 34.82 | 23 |
| 0 2 1 | 35.45 | 55 |
| 2 0 0 | 35.87 | 75 |
| 1 -1 2 | 37.57 | 59 |
| 2 2 1 | 38.07 | 48 |
| -1 1 3 | 45.24 | 22 |
| 2 0 -3 | 53.96 | 20 |
| 0 2 -3 | 54.24 | 25 |
| 2 0 4 | 54.49 | 21 |

Cell and atoms:
Unit cell a=5.580 b=5.645 c=8.301 alpha=75.68 beta=76.41 gamma=65.20
Space group P-1 (No. 2)
Inequivalent atoms, fractional coordinates:
Zr 0.233 0.451 0.309
Zn 0.200 0.816 0.568
Zn 0.233 0.979 0.054
Zn 0.268 0.480 0.944
Zn 0.333 0.158 0.713
N 0.039 0.726 0.103
N 0.104 0.208 0.533
N 0.403 0.152 0.151
N 0.416 0.488 0.701

***

10.
The following is a computed X-ray diffraction stick pattern of Tb4Nd3Y5. It was derived from a PBE-relaxed structure, using Cu Kα (λ = 1.5418 Å).
No peak broadening, texture or thermal motion is included.

Most intense lines, 2θ from 10° to 80°, in order of rising 2θ:
| (hkl) | 2θ/deg | intensity |
| --- | --- | --- |
| 0 0 1 | 10.05 | 2 |
| 2 0 1 | 30.46 | 100 |
| 2 0 -2 | 35.29 | 34 |
| 1 2 2 | 35.38 | 17 |
| 0 4 0 | 50.78 | 24 |
| 3 2 0 | 50.89 | 12 |
| 3 -2 3 | 60.35 | 18 |
| 1 2 5 | 60.42 | 18 |
| 3 2 3 | 60.54 | 7 |
| -2 4 2 | 63.28 | 3 |
| 4 0 2 | 63.44 | 9 |
| 4 0 -4 | 74.64 | 4 |

Cell and atoms:
Unit cell a=6.222 b=7.189 c=8.804 alpha=90.02 beta=90.12 gamma=90.20
Space group P-1 (No. 2)
Inequivalent atoms, fractional coordinates:
Tb 0.166 0.000 0.166
Tb 0.332 0.248 0.833
Nd 0.334 0.751 0.834
Nd 0.500 0.500 0.500
Y 0.001 0.249 0.500
Y 0.166 0.500 0.167
Y 0.500 0.000 0.500

***

11.
The following is a computed X-ray diffraction stick pattern of Pr2DyHo2Er2. It was derived from a PBE-relaxed structure, using Cu Kα (λ = 1.5418 Å).
No peak broadening, texture or thermal motion is included.

Most intense lines, 2θ from 10° to 80°, in order of rising 2θ:
| (hkl) | 2θ/deg | intensity |
| --- | --- | --- |
| 1 1 1 | 28.56 | 52 |
| 4 0 -1 | 30.61 | 71 |
| 2 0 -4 | 30.74 | 83 |
| 1 1 2 | 32.49 | 100 |
| 2 0 3 | 33.09 | 54 |
| 3 1 -2 | 35.27 | 75 |
| 3 1 -3 | 38.02 | 31 |
| 5 1 1 | 51.64 | 38 |
| 1 1 -6 | 53.88 | 26 |
| 3 1 5 | 61.04 | 24 |
| 2 2 -4 | 61.61 | 64 |
| 2 2 3 | 63.07 | 24 |

Cell and atoms:
Unit cell a=11.727 b=3.516 c=11.834 alpha=90.00 beta=109.17 gamma=90.00
Space group C2/m (No. 12)
Inequivalent atoms, fractional coordinates:
Pr 0.171 0.000 0.085
Dy 0.000 0.500 0.500
Ho 0.049 0.000 0.768
Er 0.227 0.500 0.365

***

12.
The following is a computed X-ray diffraction stick pattern of Cs3NdI8. It was derived from a PBE-relaxed structure, using Cu Kα (λ = 1.5418 Å).
No peak broadening, texture or thermal motion is included.

Most intense lines, 2θ from 10° to 80°, in order of rising 2θ:
| (hkl) | 2θ/deg | intensity |
| --- | --- | --- |
| 1 0 1 | 11.37 | 13 |
| 1 1 2 | 17.59 | 51 |
| 2 0 0 | 20.53 | 9 |
| 2 0 4 | 28.78 | 100 |
| 2 2 0 | 29.19 | 48 |
| 3 1 2 | 34.28 | 19 |
| 0 0 8 | 40.55 | 10 |
| 4 0 0 | 41.75 | 14 |
| 3 1 6 | 45.07 | 11 |
| 3 3 2 | 45.60 | 12 |
| 2 2 8 | 50.74 | 13 |
| 4 2 4 | 51.50 | 26 |

Cell and atoms:
Unit cell a=8.654 b=8.654 c=17.800 alpha=90.00 beta=90.00 gamma=90.00
Space group I4/mmm (No. 139)
Inequivalent atoms, fractional coordinates:
Cs 0.000 0.000 0.000
Cs 0.000 0.500 0.250
Nd 0.000 0.000 0.500
I 0.218 0.218 0.391